The following is a simulated X-ray diffraction stick pattern of Sm2PHPt6. It was derived from a GGA-PBE-relaxed structure, using λ = 1.5418 Å (Cu Kα).
Peak positions follow from Bragg's law for the DFT cell and can differ from measured ones.

Crystal structure
```
data_Sm2PHPt6
_chemical_formula_sum 'Sm4 P2 H2 Pt12'
_cell_length_a 5.777
_cell_length_b 8.442
_cell_length_c 6.961
_cell_angle_alpha 90.00
_cell_angle_beta 90.00
_cell_angle_gamma 90.00
_space_group_name_H-M_alt 'P m m n'
_space_group_IT_number 59
loop_
_space_group_symop_operation_xyz
'x,y,z'
'-x,-y,-z'
'-x+1/2,-y+1/2,z'
'x+1/2,y+1/2,-z'
'x+1/2,-y,-z'
'-x+1/2,y,z'
'-x,y+1/2,-z'
'x,-y+1/2,z'
loop_
_atom_site_label
_atom_site_fract_x
_atom_site_fract_y
_atom_site_fract_z
Sm1 0.250 0.030 0.223
P1 0.250 0.750 0.826
H1 0.250 0.250 0.643
Pt1 0.012 0.250 0.922
Pt2 0.012 0.750 0.489
Pt3 0.250 0.502 0.682
```

Top 10 peaks for 10° ≤ 2θ ≤ 80°, low angle first:
d_spacing  two_theta  intensity  h k l
2.685  33.4  86  0 2 2
2.435  36.9  21  1 2 2
2.384  37.7  100  2 2 0
2.223  40.6  55  2 0 2
2.110  42.9  36  0 4 0
2.033  44.6  12  0 2 3
1.530  60.5  30  2 4 2
1.444  64.5  12  4 0 0
1.272  74.6  19  4 2 2
1.265  75.1  13  2 6 0